This entry pairs a crystal structure of Ce4TlGa with its theoretical XRD peak list. Radiation: Cu Ka. Structure: the PBE geometry in Alexandria.
Peak positions follow from Bragg's law for the DFT cell and can differ from measured ones.

Structural model:
Unit cell a=7.8645 b=7.8645 c=5.6671 alpha=101.69 beta=101.69 gamma=109.62
Sites, in units of the cell vectors:
Ce1 0.0703 0.6857 0.8341
Ce2 0.1801 0.3918 0.6289
Ce3 0.3143 0.9297 0.6659
Ce4 0.3918 0.1801 0.1289
Ce5 0.6082 0.8199 0.8711
Ce6 0.6857 0.0703 0.3341
Ce7 0.8199 0.6082 0.3711
Ce8 0.9297 0.3143 0.1659
Tl1 0.3841 0.6159 0.2500
Tl2 0.6159 0.3841 0.7500
Ga1 0.0220 0.9780 0.2500
Ga2 0.9780 0.0220 0.7500

Largest 10 diffraction maxima, by intensity, 2θ = 5–70°:
2.891 Å, 30.93°, intensity 1000
2.612 Å, 34.33°, intensity 421
2.460 Å, 36.52°, intensity 297
2.362 Å, 38.11°, intensity 224
2.749 Å, 32.58°, intensity 180
2.765 Å, 32.38°, intensity 172
3.214 Å, 27.76°, intensity 152
2.653 Å, 33.79°, intensity 138
2.439 Å, 36.85°, intensity 125
1.903 Å, 47.79°, intensity 118